(1)
Computed powder XRD pattern of Tm8In3Co for Cu Kα X-rays, from a crystal structure in the Materials Project, relaxed with PBE.

Cell lengths 10.2489, 10.2489, 6.9067 Å; angles 90.00, 90.00, 120.00 degrees
Space group P6_3mc (No. 186)
Inequivalent atoms, fractional coordinates:
Tm 0.0000 0.0000 0.2788 [2 per cell]
Tm 0.0677 0.5338 0.2912 [6 per cell]
Tm 0.1785 0.3570 0.0000 [6 per cell]
Tm 0.3333 0.6667 0.6803 [2 per cell]
In 0.1631 0.3261 0.5383 [6 per cell]
Co 0.3333 0.6667 0.0674 [2 per cell]

Peak list (8 most intense, 2θ = 10–80°, low angle first)
two_theta  d/Å  Rel. int.  h k l
29.6  3.018  30  2 1 1
31.2  2.864  17  1 1 2
32.9  2.724  100  2 0 2
35.0  2.562  80  2 2 0
48.8  1.866  21  4 0 2
60.7  1.525  12  3 2 3
61.5  1.509  10  4 2 2
65.1  1.432  13  2 2 4



(2)
Computed powder XRD pattern of U2InCo2 for Cu Kα X-rays, from a crystal structure in the Materials Project, relaxed with PBE.

Cell lengths 7.4324, 7.4324, 3.2878 Å; angles 90.00, 90.00, 90.00 degrees
Space group P4/mbm (No. 127)
Inequivalent atoms, fractional coordinates:
U 0.1659 0.3341 0.0000 [4 per cell]
In 0.0000 0.0000 0.5000 [2 per cell]
Co 0.1324 0.6324 0.5000 [4 per cell]

Peak list (8 most intense, 2θ = 10–80°, low angle first)
two_theta  d/Å  Rel. int.  h k l
26.8  3.324  42  2 1 0
36.5  2.462  33  2 0 1
38.3  2.350  46  3 1 0
38.5  2.337  100  2 1 1
58.4  1.581  20  4 1 1
59.8  1.546  19  3 3 1
69.8  1.347  16  3 1 2
74.6  1.273  16  5 2 1



(3)
Computed powder XRD pattern of Y8In3Co for Cu Kα X-rays, from a crystal structure in the Materials Project, relaxed with PBE.

Cell lengths 10.3785, 10.3785, 7.0583 Å; angles 90.00, 90.00, 120.00 degrees
Space group P6_3mc (No. 186)
Inequivalent atoms, fractional coordinates:
Y 0.0000 0.0000 0.0150 [2 per cell]
Y 0.0714 0.5357 0.0000 [6 per cell]
Y 0.1776 0.3552 0.2932 [6 per cell]
Y 0.3333 0.6667 0.6084 [2 per cell]
In 0.1635 0.3270 0.7519 [6 per cell]
Co 0.3333 0.6667 0.2256 [2 per cell]

Peak list (8 most intense, 2θ = 10–80°, low angle first)
two_theta  d/Å  Rel. int.  h k l
29.2  3.061  28  2 1 1
30.6  2.918  19  1 1 2
32.3  2.776  97  2 0 2
32.5  2.758  15  3 0 1
34.6  2.595  100  2 2 0
43.3  2.090  17  2 2 2
48.0  1.895  19  4 0 2
63.8  1.459  17  2 2 4



(4)
Computed powder XRD pattern of YInCo2 for Cu Kα X-rays, from a crystal structure in the Materials Project, relaxed with PBE.

Cell lengths 4.9891, 4.0030, 7.1213 Å; angles 90.00, 90.00, 90.00 degrees
Space group Pmma (No. 51)
Inequivalent atoms, fractional coordinates:
Y 0.2500 0.0000 0.2192 [2 per cell]
In 0.2500 0.5000 0.8486 [2 per cell]
Co 0.0000 0.5000 0.5000 [2 per cell]
Co 0.2500 0.0000 0.5919 [2 per cell]

Peak list (8 most intense, 2θ = 10–80°, low angle first)
two_theta  d/Å  Rel. int.  h k l
31.3  2.859  97  1 1 1
36.0  2.495  32  2 0 0
37.9  2.374  29  0 0 3
38.3  2.348  100  1 1 2
42.2  2.144  27  1 0 3
44.3  2.043  35  2 0 2
44.7  2.029  42  2 1 1
45.3  2.002  41  0 2 0



(5)
Computed powder XRD pattern of YIn5Co for Cu Kα X-rays, from a crystal structure in the Materials Project, relaxed with PBE.

Cell lengths 4.5178, 4.5178, 7.4052 Å; angles 90.00, 90.00, 90.00 degrees
Space group P4/mmm (No. 123)
Inequivalent atoms, fractional coordinates:
Y 0.0000 0.0000 0.0000 [1 per cell]
In 0.0000 0.5000 0.3067 [4 per cell]
In 0.5000 0.5000 0.0000 [1 per cell]
Co 0.0000 0.0000 0.5000 [1 per cell]

Peak list (8 most intense, 2θ = 10–80°, low angle first)
two_theta  d/Å  Rel. int.  h k l
30.5  2.933  42  1 1 1
36.4  2.468  21  0 0 3
37.2  2.419  100  1 1 2
39.9  2.259  57  2 0 0
55.1  1.666  25  2 0 3
57.7  1.597  19  2 2 0
70.0  1.344  14  1 1 5
70.7  1.333  28  3 1 2



(6)
Computed powder XRD pattern of Zr4In5Co2 for Cu Kα X-rays, from a crystal structure in the Materials Project, relaxed with PBE.

Cell lengths 7.5497, 3.3062, 9.1043 Å; angles 90.00, 94.90, 90.00 degrees
Space group P2/m (No. 10)
Inequivalent atoms, fractional coordinates:
Zr 0.1815 0.0000 0.3417 [2 per cell]
Zr 0.2006 0.0000 0.9399 [2 per cell]
In 0.1582 0.5000 0.6424 [2 per cell]
In 0.4578 0.5000 0.1685 [2 per cell]
In 0.5000 0.5000 0.5000 [1 per cell]
Co 0.0759 0.5000 0.1338 [2 per cell]

Peak list (8 most intense, 2θ = 10–80°, low angle first)
two_theta  d/Å  Rel. int.  h k l
32.9  2.726  39  1 0 3
35.1  2.559  42  1 1 -2
35.8  2.507  49  3 0 0
36.2  2.481  100  1 1 2
36.5  2.461  39  2 0 -3
38.1  2.361  23  2 1 1
39.8  2.266  26  2 0 3
40.4  2.231  51  0 1 3



(7)
Computed powder XRD pattern of Zr2InCo2 for Cu Kα X-rays, from a crystal structure in the Materials Project, relaxed with PBE.

Cell lengths 7.2230, 7.2230, 3.3024 Å; angles 90.00, 90.00, 90.00 degrees
Space group P4/mbm (No. 127)
Inequivalent atoms, fractional coordinates:
Zr 0.1688 0.3312 0.0000 [4 per cell]
In 0.0000 0.0000 0.5000 [2 per cell]
Co 0.1261 0.6261 0.5000 [4 per cell]

Peak list (8 most intense, 2θ = 10–80°, low angle first)
two_theta  d/Å  Rel. int.  h k l
32.3  2.773  16  1 1 1
35.1  2.554  18  2 2 0
36.9  2.437  52  2 0 1
39.0  2.309  100  2 1 1
39.5  2.284  69  3 1 0
55.7  1.651  15  0 0 2
70.4  1.338  23  3 1 2
72.6  1.302  15  5 1 1



(8)
Computed powder XRD pattern of Co3Ir for Cu Kα X-rays, from a crystal structure in the Materials Project, relaxed with PBE.

Cell lengths 3.5826, 3.5826, 3.5826 Å; angles 90.00, 90.00, 90.00 degrees
Space group Pm-3m (No. 221)
Inequivalent atoms, fractional coordinates:
Co 0.0000 0.0000 0.5000 [3 per cell]
Ir 0.5000 0.5000 0.5000 [1 per cell]

Peak list (7 most intense, 2θ = 10–80°, low angle first)
two_theta  d/Å  Rel. int.  h k l
24.9  3.583  38  1 0 0
35.4  2.533  31  1 1 0
43.8  2.068  100  1 1 1
51.0  1.791  47  2 0 0
57.5  1.602  17  2 1 0
63.6  1.463  12  2 1 1
75.0  1.267  29  2 2 0



(9)
Computed powder XRD pattern of Co3Ir for Cu Kα X-rays, from a crystal structure in the Materials Project, relaxed with PBE.

Cell lengths 2.6202, 2.6202, 8.1633 Å; angles 90.00, 90.00, 120.00 degrees
Space group P-6m2 (No. 187)
Inequivalent atoms, fractional coordinates:
Co 0.0000 0.0000 0.0000 [1 per cell]
Co 0.6667 0.3333 0.2392 [2 per cell]
Ir 0.0000 0.0000 0.5000 [1 per cell]

Peak list (8 most intense, 2θ = 10–80°, low angle first)
two_theta  d/Å  Rel. int.  h k l
10.8  8.163  67  0 0 1
21.8  4.082  17  0 0 2
39.7  2.269  33  1 0 0
41.3  2.186  22  1 0 1
44.4  2.041  23  0 0 4
45.7  1.983  100  1 0 2
61.1  1.517  18  1 0 4
72.1  1.310  16  1 1 0



(10)
Computed powder XRD pattern of CoIr for Cu Kα X-rays, from a crystal structure in the Materials Project, relaxed with PBE.

Cell lengths 2.6484, 2.6484, 12.4943 Å; angles 90.00, 90.00, 120.00 degrees
Space group R-3m (No. 166, hexagonal axes)
Inequivalent atoms, fractional coordinates:
Co 0.0000 0.0000 0.0000 [3 per cell]
Ir 0.0000 0.0000 0.5000 [3 per cell]

Peak list (8 most intense, 2θ = 10–80°, low angle first)
two_theta  d/Å  Rel. int.  h k l
21.3  4.165  47  0 0 3
40.0  2.256  30  1 0 1
42.0  2.153  100  0 1 2
43.5  2.082  30  0 0 6
49.3  1.849  63  1 0 4
54.3  1.690  13  0 1 5
71.2  1.324  21  1 1 0
73.3  1.291  19  0 1 8



(11)
Computed powder XRD pattern of CoIr for Cu Kα X-rays, from a crystal structure in the Materials Project, relaxed with PBE.

Cell lengths 2.6746, 2.6746, 4.1025 Å; angles 90.00, 90.00, 120.00 degrees
Space group P-6m2 (No. 187)
Inequivalent atoms, fractional coordinates:
Co 0.0000 0.0000 0.0000 [1 per cell]
Ir 0.6667 0.3333 0.5000 [1 per cell]

Peak list (8 most intense, 2θ = 10–80°, low angle first)
two_theta  d/Å  Rel. int.  h k l
21.7  4.103  34  0 0 1
38.9  2.316  41  1 0 0
44.2  2.051  22  0 0 2
44.9  2.017  100  1 0 1
60.3  1.536  23  1 0 2
68.6  1.368  2  0 0 3
70.4  1.337  16  1 1 0
74.6  1.271  8  1 1 1